# 1
Starting from a GGA+U-relaxed structure, the powder X-ray diffraction pattern of Ca4Fe9O17 was simulated for Cu Kα, 1.54184 Å.

Structure:
Cell: 10.559 6.090 11.573 Å, 90.00 98.65 90.00°
Space group C2 (No. 5)
Asymmetric unit:
1 Ca 0.040 0.000 0.249 (multiplicity 4)
2 Ca 0.206 0.501 0.240 (multiplicity 4)
3 Fe 0.000 0.250 0.500 (multiplicity 2)
4 Fe 0.000 0.660 0.000 (multiplicity 2)
5 Fe 0.000 0.753 0.500 (multiplicity 2)
6 Fe 0.130 0.501 0.775 (multiplicity 4)
7 Fe 0.164 0.169 0.000 (multiplicity 4)
8 Fe 0.248 0.004 0.492 (multiplicity 4)
9 O 0.000 0.990 0.000 (multiplicity 2)
10 O 0.009 0.653 0.177 (multiplicity 4)
11 O 0.098 0.503 0.599 (multiplicity 4)
12 O 0.099 0.997 0.593 (multiplicity 4)
13 O 0.133 0.205 0.822 (multiplicity 4)
14 O 0.148 0.258 0.406 (multiplicity 4)
15 O 0.153 0.752 0.405 (multiplicity 4)
16 O 0.169 0.506 0.020 (multiplicity 4)
17 O 0.212 0.143 0.178 (multiplicity 4)

Largest 10 diffraction maxima, by angle, 2θ from 15° to 90°:
d 5.721, intensity 452
d 3.021, intensity 876
d 2.860, intensity 1000
d 2.830, intensity 685
d 2.688, intensity 473
d 2.537, intensity 540
d 2.522, intensity 439
d 2.323, intensity 478
d 1.753, intensity 585
d 1.524, intensity 522

# 2
Starting from a GGA+U-relaxed structure, the powder X-ray diffraction pattern of CaFe2O4 was simulated for Cu Kα, 1.54184 Å.

Structure:
Cell: 3.065 10.019 10.137 Å, 90.00 90.00 90.00°
Space group Cmcm (No. 63)
Asymmetric unit:
1 Ca 0.000 0.110 0.250 (multiplicity 4)
2 Fe 0.000 0.365 0.071 (multiplicity 8)
3 O 0.000 0.000 0.000 (multiplicity 4)
4 O 0.000 0.269 0.608 (multiplicity 8)
5 O 0.000 0.440 0.250 (multiplicity 4)

Largest 10 diffraction maxima, by angle, 2θ from 15° to 90°:
d 2.816, intensity 274
d 2.801, intensity 1000
d 2.537, intensity 213
d 2.505, intensity 218
d 2.259, intensity 405
d 2.204, intensity 507
d 2.063, intensity 480
d 1.667, intensity 245
d 1.502, intensity 216
d 1.497, intensity 194

# 3
Starting from a GGA+U-relaxed structure, the powder X-ray diffraction pattern of CaFe2O4 was simulated for Cu Kα, 1.54184 Å.

Structure:
Cell: 9.328 3.060 10.860 Å, 90.00 90.00 90.00°
Space group Pnma (No. 62)
Asymmetric unit:
1 Ca 0.243 0.250 0.156 (multiplicity 4)
2 Fe 0.066 0.250 0.389 (multiplicity 4)
3 Fe 0.081 0.250 0.896 (multiplicity 4)
4 O 0.025 0.750 0.784 (multiplicity 4)
5 O 0.082 0.250 0.574 (multiplicity 4)
6 O 0.120 0.750 0.024 (multiplicity 4)
7 O 0.205 0.750 0.337 (multiplicity 4)

Largest 10 diffraction maxima, by angle, 2θ from 15° to 90°:
d 4.664, intensity 196
d 2.715, intensity 467
d 2.698, intensity 927
d 2.562, intensity 1000
d 2.267, intensity 292
d 2.140, intensity 253
d 1.862, intensity 371
d 1.855, intensity 260
d 1.531, intensity 440
d 1.331, intensity 185

# 4
Starting from a GGA+U-relaxed structure, the powder X-ray diffraction pattern of Ca2Fe2O5 was simulated for Cu Kα, 1.54184 Å.

Structure:
Cell: 7.873 14.835 5.565 Å, 90.00 134.06 90.00°
Space group C2/m (No. 12)
Asymmetric unit:
1 Ca 0.222 0.144 0.446 (multiplicity 8)
2 Fe 0.191 0.500 0.016 (multiplicity 4)
3 Fe 0.250 0.250 0.000 (multiplicity 4)
4 O 0.000 0.260 0.500 (multiplicity 4)
5 O 0.000 0.268 0.000 (multiplicity 4)
6 O 0.157 0.500 0.339 (multiplicity 4)
7 O 0.183 0.110 0.963 (multiplicity 8)

Largest 10 diffraction maxima, by angle, 2θ from 15° to 90°:
d 3.999, intensity 246
d 3.716, intensity 378
d 3.696, intensity 230
d 2.828, intensity 798
d 2.782, intensity 809
d 2.719, intensity 1000
d 2.699, intensity 782
d 1.999, intensity 482
d 1.968, intensity 308
d 1.854, intensity 352

# 5
Starting from a GGA+U-relaxed structure, the powder X-ray diffraction pattern of CaFe2O4 was simulated for Cu Kα, 1.54184 Å.

Structure:
Cell: 6.186 6.225 6.233 Å, 118.85 117.65 92.07°
Space group P1 (No. 1)
Asymmetric unit:
1 Ca 0.000 0.000 0.000 (multiplicity 1)
2 Ca 0.244 0.757 0.519 (multiplicity 1)
3 Fe 0.123 0.380 0.760 (multiplicity 1)
4 Fe 0.621 0.380 0.259 (multiplicity 1)
5 Fe 0.621 0.878 0.259 (multiplicity 1)
6 Fe 0.622 0.379 0.760 (multiplicity 1)
7 O 0.373 0.190 0.806 (multiplicity 1)
8 O 0.384 0.608 0.801 (multiplicity 1)
9 O 0.422 0.147 0.313 (multiplicity 1)
10 O 0.425 0.630 0.275 (multiplicity 1)
11 O 0.821 0.128 0.245 (multiplicity 1)
12 O 0.821 0.610 0.205 (multiplicity 1)
13 O 0.859 0.149 0.718 (multiplicity 1)
14 O 0.871 0.568 0.713 (multiplicity 1)

Largest 10 diffraction maxima, by angle, 2θ from 15° to 90°:
d 5.147, intensity 1000
d 5.071, intensity 387
d 2.748, intensity 401
d 2.731, intensity 651
d 2.704, intensity 461
d 2.628, intensity 491
d 2.279, intensity 432
d 2.233, intensity 393
d 2.154, intensity 374
d 1.555, intensity 552

# 6
Starting from a GGA+U-relaxed structure, the powder X-ray diffraction pattern of CaFe18O26 was simulated for Cu Kα, 1.54184 Å.

Structure:
Cell: 5.262 5.998 17.492 Å, 90.00 98.07 106.61°
Space group P1 (No. 1)
Asymmetric unit:
1 Ca 0.000 0.000 0.000 (multiplicity 1)
2 Fe 0.123 0.783 0.188 (multiplicity 1)
3 Fe 0.131 0.287 0.189 (multiplicity 1)
4 Fe 0.285 0.575 0.363 (multiplicity 1)
5 Fe 0.290 0.077 0.364 (multiplicity 1)
6 Fe 0.395 0.102 0.554 (multiplicity 1)
7 Fe 0.397 0.603 0.552 (multiplicity 1)
8 Fe 0.410 0.357 0.729 (multiplicity 1)
9 Fe 0.423 0.609 0.905 (multiplicity 1)
10 Fe 0.423 0.859 0.729 (multiplicity 1)
11 Fe 0.459 0.120 0.901 (multiplicity 1)
12 Fe 0.527 0.632 0.099 (multiplicity 1)
13 Fe 0.565 0.146 0.106 (multiplicity 1)
14 Fe 0.704 0.429 0.272 (multiplicity 1)
15 Fe 0.707 0.930 0.274 (multiplicity 1)
16 Fe 0.914 0.483 0.645 (multiplicity 1)
17 Fe 0.915 0.981 0.647 (multiplicity 1)
18 Fe 0.919 0.731 0.812 (multiplicity 1)
19 Fe 0.921 0.235 0.812 (multiplicity 1)
20 O 0.154 0.051 0.753 (multiplicity 1)
21 O 0.160 0.535 0.756 (multiplicity 1)
22 O 0.171 0.797 0.619 (multiplicity 1)
23 O 0.179 0.299 0.620 (multiplicity 1)
24 O 0.182 0.548 0.458 (multiplicity 1)
25 O 0.184 0.050 0.459 (multiplicity 1)
26 O 0.185 0.289 0.910 (multiplicity 1)
27 O 0.185 0.811 0.908 (multiplicity 1)
28 O 0.278 0.831 0.092 (multiplicity 1)
29 O 0.286 0.313 0.090 (multiplicity 1)
30 O 0.429 0.621 0.226 (multiplicity 1)
31 O 0.439 0.104 0.227 (multiplicity 1)
32 O 0.536 0.389 0.362 (multiplicity 1)
33 O 0.536 0.886 0.364 (multiplicity 1)
34 O 0.620 0.410 0.838 (multiplicity 1)
35 O 0.636 0.911 0.845 (multiplicity 1)
36 O 0.643 0.669 0.001 (multiplicity 1)
37 O 0.644 0.153 0.003 (multiplicity 1)
38 O 0.645 0.415 0.556 (multiplicity 1)
39 O 0.646 0.915 0.559 (multiplicity 1)
40 O 0.687 0.186 0.697 (multiplicity 1)
41 O 0.692 0.666 0.697 (multiplicity 1)
42 O 0.821 0.470 0.161 (multiplicity 1)
43 O 0.828 0.949 0.158 (multiplicity 1)
44 O 0.994 0.252 0.297 (multiplicity 1)
45 O 0.998 0.754 0.296 (multiplicity 1)

Largest 10 diffraction maxima, by angle, 2θ from 15° to 90°:
d 2.692, intensity 203
d 2.669, intensity 1000
d 2.521, intensity 251
d 2.353, intensity 211
d 2.210, intensity 240
d 2.182, intensity 247
d 2.150, intensity 353
d 2.107, intensity 197
d 2.064, intensity 239
d 1.500, intensity 206